This entry pairs a crystal structure of Pm2Mg3Si2 with its simulated PXRD pattern. Radiation: Cu Kα X-rays. Structure: a structure optimized by DFT (GGA-PBE).

Structure:
Lattice parameters (Å, degrees): 3.8395 20.6326 4.2626 90.00 90.00 90.00
Space group Cmmm (No. 65)
Symmetry-distinct sites (fractional):
Pm (0.0000, 0.1728, 0.0000) x4
Mg (0.0000, 0.0000, 0.0000) x2
Mg (0.0000, 0.4237, 0.5000) x4
Si (0.0000, 0.2856, 0.5000) x4

The 6 most intense peaks (10 to 90 degrees two-theta), in order of rising 2θ:
- hkl 0 0 1, d 4.263, intensity 420
- hkl 1 3 0, d 3.352, intensity 607
- hkl 1 1 1, d 2.826, intensity 686
- hkl 0 6 1, d 2.676, intensity 844
- hkl 1 3 1, d 2.635, intensity 1000
- hkl 1 5 1, d 2.347, intensity 445

This entry pairs a crystal structure of Pm2Mg5Si4 with its simulated PXRD pattern. Radiation: Cu Kα X-rays. Structure: a structure optimized by DFT (GGA-PBE).

Structure:
Lattice parameters (Å, degrees): 5.9341 11.2105 14.7245 90.00 90.00 90.00
Space group Fmmm (No. 69)
Symmetry-distinct sites (fractional):
Pm (0.0000, 0.0000, 0.1522) x8
Mg (0.0000, 0.0000, 0.5000) x4
Mg (0.2500, 0.2500, 0.0000) x8
Mg (0.2500, 0.2500, 0.2500) x8
Si (0.0000, 0.1101, 0.3500) x16

The 6 most intense peaks (10 to 90 degrees two-theta), in order of rising 2θ:
- hkl 0 2 0, d 5.605, intensity 676
- hkl 1 1 3, d 3.584, intensity 824
- hkl 0 2 4, d 3.077, intensity 593
- hkl 1 3 3, d 2.658, intensity 1000
- hkl 2 2 0, d 2.622, intensity 733
- hkl 1 5 3, d 1.929, intensity 528

This entry pairs a crystal structure of Pm6MgSi4 with its simulated PXRD pattern. Radiation: Cu Kα X-rays. Structure: a structure optimized by DFT (GGA-PBE).

Structure:
Lattice parameters (Å, degrees): 9.1750 9.1750 4.1182 90.00 90.00 120.00
Space group P-6m2 (No. 187)
Symmetry-distinct sites (fractional):
Pm (0.1912, 0.3824, 0.0000) x3
Pm (0.5390, 0.0779, 0.5000) x3
Mg (0.0000, 0.0000, 0.5000) x1
Si (0.3333, 0.6667, 0.5000) x1
Si (0.3480, 0.1740, 0.0000) x3

The 6 most intense peaks (10 to 90 degrees two-theta), in order of rising 2θ:
- hkl 1 0 1, d 3.656, intensity 394
- hkl 2 0 1, d 2.859, intensity 1000
- hkl 3 0 0, d 2.649, intensity 423
- hkl 2 1 1, d 2.427, intensity 481
- hkl 2 2 0, d 2.294, intensity 251
- hkl 3 2 1, d 1.667, intensity 278

This entry pairs a crystal structure of Pm5MgSi2 with its simulated PXRD pattern. Radiation: Cu Kα X-rays. Structure: a structure optimized by DFT (GGA-PBE).

Structure:
Lattice parameters (Å, degrees): 7.7494 7.7494 15.2940 90.00 90.00 90.00
Space group I4/mcm (No. 140)
Symmetry-distinct sites (fractional):
Pm (0.0000, 0.0000, 0.0000) x4
Pm (0.1745, 0.3255, 0.1346) x16
Mg (0.0000, 0.0000, 0.2500) x4
Si (0.1169, 0.3831, 0.5000) x8

The 6 most intense peaks (10 to 90 degrees two-theta), in order of rising 2θ:
- hkl 2 1 1, d 3.380, intensity 599
- hkl 2 1 3, d 2.866, intensity 1000
- hkl 2 0 4, d 2.722, intensity 752
- hkl 3 1 0, d 2.451, intensity 461
- hkl 4 1 3, d 1.764, intensity 349
- hkl 3 3 4, d 1.648, intensity 324